Diffraction record for RbMnVF6. The powder diffractogram is calculated, not measured: it uses a DFT-relaxed cell (PBE+U, Alexandria) and CuKα.
Neutral-atom scattering factors, no anomalous dispersion.

Structure:
Cell lengths 5.5708, 5.5708, 6.0292 Å; angles 90.03, 90.03, 119.82 degrees
Atoms (fractional coordinates):
Rb: 0.0000 0.0000 0.0000
Mn: 0.3329 0.6671 0.5000
V: 0.6667 0.3333 0.5000
F: 0.3855 0.3632 0.3174
F: 0.3865 0.0231 0.6831
F: 0.6358 0.0224 0.3171
F: 0.6368 0.6145 0.6826
F: 0.9769 0.6135 0.3169
F: 0.9776 0.3642 0.6829

Largest 10 diffraction maxima, in order of rising 2θ, 15 to 90 degrees two-theta:
Position (°2θ)  d/Å  intensity
23.61  3.769  100
32.11  2.788  20
35.48  2.530  12
40.20  2.243  11
44.25  2.047  46
49.10  1.855  9
52.42  1.745  14
57.18  1.611  9
59.88  1.545  9
71.10  1.326  8